(1)
The following is a computed XRD peak list of Nd2SnSe4. It was derived from a PBE-relaxed structure, using Cu Kα (λ = 1.5418 Å).

Crystal structure
Cell lengths 7.536, 12.251, 4.355 Å; angles 90.00, 90.00, 90.00 degrees
Space group Pbam (No. 55)
Inequivalent atoms, fractional coordinates:
Nd1 0.086 0.176 0.000 x4
Sn1 0.000 0.500 0.500 x2
Se1 0.148 0.721 0.500 x4
Se2 0.240 0.957 0.000 x4

Most intense lines, 15° ≤ 2θ ≤ 90°, low angle first:
| Position (°2θ) | I/Imax |
| --- | --- |
| 24.7 | 100.0 |
| 31.5 | 31.1 |
| 32.3 | 73.1 |
| 34.7 | 51.6 |
| 41.5 | 28.9 |
| 44.1 | 49.6 |

(2)
The following is a computed XRD peak list of Pa3Si8W3. It was derived from a PBE-relaxed structure, using Cu Kα (λ = 1.5418 Å).

Crystal structure
Cell lengths 4.207, 8.327, 13.942 Å; angles 90.00, 90.00, 90.00 degrees
Space group Immm (No. 71)
Inequivalent atoms, fractional coordinates:
Pa1 0.000 0.000 0.000 x2
Pa2 0.000 0.000 0.283 x4
Si1 0.000 0.285 0.130 x8
Si2 0.000 0.360 0.352 x8
W1 0.000 0.190 0.500 x4
W2 0.000 0.500 0.000 x2

Most intense lines, 15° ≤ 2θ ≤ 90°, low angle first:
| Position (°2θ) | I/Imax |
| --- | --- |
| 23.7 | 39.7 |
| 25.6 | 43.6 |
| 30.9 | 40.4 |
| 36.0 | 100.0 |
| 41.1 | 37.0 |
| 55.6 | 45.7 |

(3)
The following is a computed XRD peak list of TiTlN2. It was derived from a PBE-relaxed structure, using Cu Kα (λ = 1.5418 Å).

Crystal structure
Cell lengths 3.1448, 3.1448, 19.6950 Å; angles 90.00, 90.00, 120.00 degrees
Space group R-3m (No. 166, hexagonal axes)
Inequivalent atoms, fractional coordinates:
Ti1 0.0000 0.0000 0.0000 x3
Tl1 0.0000 0.0000 0.5000 x3
N1 0.0000 0.0000 0.3853 x6

Most intense lines, 15° ≤ 2θ ≤ 90°, low angle first:
| Position (°2θ) | I/Imax |
| --- | --- |
| 27.2 | 53.6 |
| 33.2 | 51.0 |
| 34.2 | 100.0 |
| 37.7 | 59.5 |
| 49.9 | 38.7 |
| 65.9 | 27.0 |

(4)
The following is a computed XRD peak list of LiIn5Au6. It was derived from a PBE-relaxed structure, using Cu Kα (λ = 1.5418 Å).

Crystal structure
Cell lengths 6.355, 6.691, 7.113 Å; angles 68.43, 66.54, 89.81 degrees
Space group P-1 (No. 2)
Inequivalent atoms, fractional coordinates:
Li1 0.000 0.000 0.000 x1
In1 0.003 0.284 0.277 x2
In2 0.454 0.390 0.768 x2
In3 0.500 0.000 0.500 x1
Au1 0.134 0.335 0.603 x2
Au2 0.288 0.969 0.215 x2
Au3 0.290 0.701 0.958 x2

Most intense lines, 15° ≤ 2θ ≤ 90°, low angle first:
| Position (°2θ) | I/Imax |
| --- | --- |
| 31.9 | 78.4 |
| 33.0 | 44.1 |
| 33.6 | 100.0 |
| 38.7 | 36.1 |
| 39.4 | 41.2 |
| 44.3 | 36.8 |